Theoretical powder XRD pattern of MnGeBiO6 for copper Kα, from a crystal structure in Alexandria, relaxed with PBE+U.

Structure:
```
18
Lattice="4.6590 0.0000 0.0000 0.0000 4.6590 0.0000 0.0000 0.0000 9.5978" Properties=species:S:1:pos:R:3 pbc="T T T"
Mn 0.0000 0.0000 0.0000
Mn 2.3295 2.3295 4.7989
Ge 0.0000 0.0000 3.2202
Ge 2.3295 2.3295 8.0192
Bi 0.0000 0.0000 6.4361
Bi 2.3295 2.3295 1.6372
O 0.8366 0.8366 1.7022
O 0.9257 0.9257 4.7006
O 0.9821 0.9821 8.0775
O 1.3474 3.3116 3.2786
O 1.4038 3.2552 9.4996
O 1.4929 3.1661 6.5011
O 3.1661 1.4929 6.5011
O 3.2552 1.4038 9.4996
O 3.3116 1.3474 3.2786
O 3.6769 3.6769 8.0775
O 3.7333 3.7333 4.7006
O 3.8224 3.8224 1.7022
```

Top 10 peaks for 10 to 90 degrees two-theta, by intensity:
| two_theta | d_spacing | intensity | h k l |
| --- | --- | --- | --- |
| 27.07 | 3.294 | 100 | 1 1 0 |
| 33.99 | 2.637 | 84 | 1 0 3 |
| 52.41 | 1.746 | 68 | 2 1 3 |
| 21.20 | 4.191 | 51 | 1 0 1 |
| 38.65 | 2.330 | 22 | 2 0 0 |
| 32.98 | 2.716 | 20 | 1 1 2 |
| 66.98 | 1.397 | 20 | 3 0 3 |
| 44.50 | 2.036 | 18 | 2 1 1 |
| 18.49 | 4.799 | 17 | 0 0 2 |
| 64.79 | 1.439 | 17 | 1 1 6 |